No. 1
Simulated powder diffractogram of K3ZnBr6 for Cu Kα, from the GGA-PBE geometry in Alexandria.
Kinematic intensities with the Lorentz-polarization factor, no thermal factor.

Cell and atoms:
Cell lengths 11.4077, 11.4077, 6.2178 Å; angles 90.00, 90.00, 104.68 degrees
Element x y z (fractional)
K 0.1183 0.8817 0.5000
K 0.1965 0.4377 0.4763
K 0.4377 0.1965 0.9763
K 0.5623 0.8035 0.4763
K 0.8035 0.5623 0.9763
K 0.8817 0.1183 0.0000
Zn 0.2934 0.7066 0.9034
Zn 0.7066 0.2934 0.4034
Br 0.0845 0.6246 0.7812
Br 0.1602 0.1654 0.7349
Br 0.1654 0.1602 0.2349
Br 0.2863 0.7137 0.2904
Br 0.3754 0.9155 0.7812
Br 0.4234 0.5766 0.8000
Br 0.5766 0.4234 0.3000
Br 0.6246 0.0845 0.2812
Br 0.7137 0.2863 0.7904
Br 0.8346 0.8398 0.7349
Br 0.8398 0.8346 0.2349
Br 0.9155 0.3754 0.2812

Main lines, sorted by position (2θ from 10° to 90°):
| two_theta | I/Imax |
| --- | --- |
| 16.05 | 60 |
| 16.36 | 29 |
| 19.70 | 77 |
| 21.53 | 54 |
| 24.39 | 51 |
| 28.19 | 67 |
| 28.72 | 30 |
| 31.37 | 64 |
| 35.07 | 100 |
| 38.77 | 53 |
| 43.85 | 20 |
| 48.32 | 27 |

No. 2
Simulated powder diffractogram of Pr3InGe4 for Cu Kα, from the GGA-PBE geometry in Alexandria.
Kinematic intensities with the Lorentz-polarization factor, no thermal factor.

Cell and atoms:
Cell lengths 4.4470, 6.2105, 15.6252 Å; angles 90.00, 90.00, 90.00 degrees
Element x y z (fractional)
Pr 0.0000 0.0000 0.0000
Pr 0.0000 0.5000 0.1865
Pr 0.0000 0.5000 0.8135
Pr 0.5000 0.0000 0.3135
Pr 0.5000 0.0000 0.6865
Pr 0.5000 0.5000 0.5000
In 0.0000 0.0000 0.5000
In 0.5000 0.5000 0.0000
Ge 0.0000 0.3036 0.3700
Ge 0.0000 0.3036 0.6300
Ge 0.0000 0.6964 0.3700
Ge 0.0000 0.6964 0.6300
Ge 0.5000 0.1964 0.1300
Ge 0.5000 0.1964 0.8700
Ge 0.5000 0.8036 0.1300
Ge 0.5000 0.8036 0.8700

Main lines, sorted by position (2θ from 10° to 90°):
| two_theta | I/Imax |
| --- | --- |
| 22.28 | 17 |
| 27.18 | 100 |
| 33.78 | 35 |
| 34.44 | 17 |
| 35.10 | 25 |
| 35.73 | 20 |
| 36.98 | 24 |
| 39.39 | 31 |
| 40.57 | 28 |
| 45.46 | 16 |
| 49.98 | 17 |
| 69.46 | 29 |

No. 3
Simulated powder diffractogram of ZnFeI4 for Cu Kα, from the GGA-PBE geometry in Alexandria.
Kinematic intensities with the Lorentz-polarization factor, no thermal factor.

Cell and atoms:
Cell lengths 6.3855, 6.3855, 11.7196 Å; angles 90.00, 90.00, 90.00 degrees
Element x y z (fractional)
Zn 0.0000 0.5000 0.2500
Zn 0.5000 0.0000 0.7500
Fe 0.0000 0.0000 0.0000
Fe 0.0000 0.0000 0.5000
I 0.2376 0.2528 0.3789
I 0.2376 0.7472 0.1211
I 0.2528 0.2376 0.8789
I 0.2528 0.7624 0.6211
I 0.7472 0.2376 0.6211
I 0.7472 0.7624 0.8789
I 0.7624 0.2528 0.1211
I 0.7624 0.7472 0.3789

Main lines, sorted by position (2θ from 10° to 90°):
| two_theta | I/Imax |
| --- | --- |
| 15.80 | 9 |
| 24.90 | 100 |
| 27.95 | 19 |
| 30.51 | 7 |
| 39.93 | 21 |
| 41.85 | 36 |
| 47.63 | 33 |
| 50.94 | 14 |
| 51.07 | 7 |
| 66.61 | 12 |
| 73.83 | 13 |
| 78.03 | 7 |